(1)
Ca2Ta2NiO8: theoretical PXRD pattern (CuKα), based on a DFT-relaxed cell (GGA+U, the Materials Project).
Peak positions follow from Bragg's law for the DFT cell and can differ from measured ones.

Cell and atoms:
a = 18.836 Å, b = 6.334 Å, c = 5.440 Å
α = 90.00°, β = 91.51°, γ = 90.00°
Space group C2/c (No. 15)
Symmetry-distinct sites (fractional):
Ca: 0.208 0.173 0.242 [8 per cell]
Ta: 0.110 0.350 0.750 [8 per cell]
Ni: 0.000 0.133 0.250 [4 per cell]
O: 0.056 0.142 0.582 [8 per cell]
O: 0.068 0.374 0.087 [8 per cell]
O: 0.179 0.438 0.490 [8 per cell]
O: 0.185 0.156 0.839 [8 per cell]

Peak list (8 most intense, 5° ≤ 2θ ≤ 70°, most intense first)
2θ = 32.72°, rel. 100, hkl 0 2 1; 2θ = 31.85°, rel. 89, hkl 5 1 -1; 2θ = 32.51°, rel. 81, hkl 5 1 1; 2θ = 27.56°, rel. 74, hkl 5 1 0; 2θ = 18.85°, rel. 60, hkl 4 0 0; 2θ = 32.94°, rel. 60, hkl 0 0 2; 2θ = 14.76°, rel. 52, hkl 1 1 0; 2θ = 21.96°, rel. 46, hkl 1 1 -1

---

(2)
KHoMo2O8: theoretical PXRD pattern (CuKα), based on a DFT-relaxed cell (GGA+U, the Materials Project).
Peak positions follow from Bragg's law for the DFT cell and can differ from measured ones.

Cell and atoms:
a = 5.134 Å, b = 18.446 Å, c = 8.093 Å
α = 90.00°, β = 90.00°, γ = 90.00°
Space group Pbcn (No. 60)
Symmetry-distinct sites (fractional):
K: 0.000 0.230 0.250 [4 per cell]
Ho: 0.000 0.006 0.750 [4 per cell]
Mo: 0.023 0.399 0.516 [8 per cell]
O: 0.102 0.311 0.974 [8 per cell]
O: 0.231 0.401 0.338 [8 per cell]
O: 0.247 0.408 0.690 [8 per cell]
O: 0.248 0.035 0.505 [8 per cell]

Peak list (8 most intense, 5° ≤ 2θ ≤ 70°, most intense first)
2θ = 9.59°, rel. 100, hkl 0 2 0; 2θ = 28.50°, rel. 79, hkl 1 1 2; 2θ = 29.82°, rel. 42, hkl 1 5 0; 2θ = 22.56°, rel. 37, hkl 1 3 0; 2θ = 29.37°, rel. 31, hkl 0 4 2; 2θ = 46.28°, rel. 29, hkl 2 4 2; 2θ = 53.17°, rel. 15, hkl 1 9 2; 2θ = 51.60°, rel. 15, hkl 2 6 2

---

(3)
MgV2In2O8: theoretical PXRD pattern (CuKα), based on a DFT-relaxed cell (GGA+U, the Materials Project).
Peak positions follow from Bragg's law for the DFT cell and can differ from measured ones.

Cell and atoms:
a = 9.270 Å, b = 6.067 Å, c = 7.356 Å
α = 90.00°, β = 91.50°, γ = 90.00°
Space group C2/m (No. 12)
Symmetry-distinct sites (fractional):
Mg: 0.000 0.000 0.000 [2 per cell]
V: 0.145 0.000 0.700 [4 per cell]
In: 0.000 0.500 0.000 [2 per cell]
In: 0.000 0.500 0.500 [2 per cell]
O: 0.028 0.232 0.708 [8 per cell]
O: 0.207 0.000 0.926 [4 per cell]
O: 0.226 0.500 0.460 [4 per cell]

Peak list (8 most intense, 5° ≤ 2θ ≤ 70°, most intense first)
2θ = 30.22°, rel. 100, hkl 1 1 2; 2θ = 19.16°, rel. 95, hkl 2 0 0; 2θ = 32.53°, rel. 84, hkl 3 1 0; 2θ = 29.44°, rel. 78, hkl 0 2 0; 2θ = 17.47°, rel. 71, hkl 1 1 0; 2θ = 29.80°, rel. 58, hkl 1 1 -2; 2θ = 38.47°, rel. 45, hkl 0 2 2; 2θ = 43.01°, rel. 41, hkl 2 2 -2

---

(4)
LiVPO5: theoretical PXRD pattern (CuKα), based on a DFT-relaxed cell (GGA+U, the Materials Project).
Peak positions follow from Bragg's law for the DFT cell and can differ from measured ones.

Cell and atoms:
a = 6.670 Å, b = 9.133 Å, c = 7.763 Å
α = 90.00°, β = 91.04°, γ = 90.00°
Space group P2_1/c (No. 14)
Symmetry-distinct sites (fractional):
Li: 0.042 0.245 0.292 [4 per cell]
V: 0.381 0.529 0.176 [4 per cell]
P: 0.356 0.204 0.008 [4 per cell]
O: 0.139 0.201 0.065 [4 per cell]
O: 0.158 0.601 0.139 [4 per cell]
O: 0.359 0.144 0.821 [4 per cell]
O: 0.424 0.126 0.485 [4 per cell]
O: 0.484 0.631 0.379 [4 per cell]

Peak list (8 most intense, 5° ≤ 2θ ≤ 70°, most intense first)
2θ = 13.28°, rel. 100, hkl 1 0 0; 2θ = 20.21°, rel. 37, hkl 1 1 1; 2θ = 16.46°, rel. 33, hkl 1 1 0; 2θ = 19.93°, rel. 19, hkl 1 1 -1; 2θ = 30.22°, rel. 15, hkl 0 2 2; 2θ = 31.57°, rel. 13, hkl 0 3 1; 2θ = 28.52°, rel. 12, hkl 1 1 2; 2θ = 32.96°, rel. 11, hkl 1 2 -2

---

(5)
Li3FeP2O8: theoretical PXRD pattern (CuKα), based on a DFT-relaxed cell (GGA+U, the Materials Project).
Peak positions follow from Bragg's law for the DFT cell and can differ from measured ones.

Cell and atoms:
a = 8.8980 Å, b = 8.8980 Å, c = 20.3340 Å
α = 90.00°, β = 90.00°, γ = 120.00°
Space group R3 (No. 146, hexagonal axes)
Symmetry-distinct sites (fractional):
Li: 0.0000 0.0000 0.0000 [3 per cell]
Li: 0.0000 0.0000 0.1461 [3 per cell]
Li: 0.0000 0.0000 0.6574 [3 per cell]
Li: 0.0065 0.6018 0.9044 [9 per cell]
Li: 0.1034 0.3874 0.7280 [9 per cell]
Fe: 0.0000 0.0000 0.2998 [3 per cell]
Fe: 0.0000 0.0000 0.5100 [3 per cell]
Fe: 0.0000 0.0000 0.8007 [3 per cell]
P: 0.0006 0.2993 0.9067 [9 per cell]
P: 0.0027 0.7050 0.4061 [9 per cell]
O: 0.0034 0.1994 0.8451 [9 per cell]
O: 0.0102 0.8061 0.3428 [9 per cell]
O: 0.0154 0.8108 0.4680 [9 per cell]
O: 0.0282 0.8329 0.0798 [9 per cell]
O: 0.1271 0.4547 0.6364 [9 per cell]
O: 0.1579 0.4902 0.2424 [9 per cell]
O: 0.1577 0.6692 0.3999 [9 per cell]
O: 0.1651 0.4859 0.8990 [9 per cell]

Peak list (8 most intense, 5° ≤ 2θ ≤ 70°, most intense first)
2θ = 23.93°, rel. 100, hkl 2 -1 3; 2θ = 20.93°, rel. 36, hkl 1 0 4; 2θ = 33.23°, rel. 30, hkl 2 -1 6; 2θ = 31.02°, rel. 22, hkl 3 -1 1; 2θ = 34.93°, rel. 19, hkl 3 0 0; 2θ = 14.42°, rel. 17, hkl 0 1 2; 2θ = 29.08°, rel. 16, hkl 0 2 4; 2θ = 48.98°, rel. 13, hkl 4 -2 6